For Pr14SmHo, a cell relaxed with PBE gives the calculated powder diffraction line list in this record (Cu Kα (weighted mean of Kα1 and Kα2)).

Most intense lines, 15° ≤ 2θ ≤ 90°, in order of falling intensity:
d 3.018, 2θ 29.6, I 100, (2 0 2); d 2.614, 2θ 34.3, I 51, (2 2 0); d 1.848, 2θ 49.3, I 36, (4 0 0); d 1.575, 2θ 58.6, I 29, (4 2 2); d 1.199, 2θ 80.0, I 18, (6 0 2); d 1.578, 2θ 58.5, I 15, (2 0 6); d 1.509, 2θ 61.4, I 13, (4 0 4); d 1.168, 2θ 82.6, I 11, (6 2 0); d 1.170, 2θ 82.4, I 5, (2 2 8); d 1.306, 2θ 72.4, I 4, (4 4 0); d 1.309, 2θ 72.2, I 2, (0 0 8)

Cell and atoms:
```
data_Pr14SmHo
_cell_length_a 7.3875
_cell_length_b 7.3875
_cell_length_c 10.4720
_cell_angle_alpha 90.00
_cell_angle_beta 90.00
_cell_angle_gamma 90.00
_symmetry_space_group_name_H-M 'P 4/m m m'
_symmetry_Int_Tables_number 123
_symmetry_space_group_name_Hall '-P 4 2'
loop_
_atom_site_label
_atom_site_type_symbol
_atom_site_fract_x
_atom_site_fract_y
_atom_site_fract_z
Pr1 Pr 0.0000 0.0000 0.0000
Pr2 Pr 0.0000 0.5000 0.0000
Pr3 Pr 0.0000 0.5000 0.5000
Pr4 Pr 0.2492 0.2492 0.2522
Pr5 Pr 0.5000 0.5000 0.0000
Sm1 Sm 0.5000 0.5000 0.5000
Ho1 Ho 0.0000 0.0000 0.5000
```